This entry pairs a crystal structure of Lu2CoIr with its computed powder diffraction line list. Radiation: Cu Kα (weighted mean of Kα1 and Kα2). Structure: a PBE-relaxed structure.
No peak broadening, texture or thermal motion is included.

Structural model:
```
data_Lu2CoIr
_cell_length_a 6.649
_cell_length_b 6.649
_cell_length_c 6.649
_cell_angle_alpha 90.00
_cell_angle_beta 90.00
_cell_angle_gamma 90.00
_symmetry_space_group_name_H-M 'F m -3 m'
_symmetry_Int_Tables_number 225
_symmetry_space_group_name_Hall '-F 4 2 3'
loop_
_atom_site_label
_atom_site_type_symbol
_atom_site_fract_x
_atom_site_fract_y
_atom_site_fract_z
Lu1 Lu 0.250 0.250 0.250
Co1 Co 0.000 0.000 0.000
Ir1 Ir 0.000 0.000 0.500
```

Top 9 peaks for 5 to 70 degrees two-theta, in order of rising 2θ:
- 2θ = 23.17°, intensity 10.6, hkl 1 1 1
- 2θ = 26.82°, intensity 3.2, hkl 2 0 0
- 2θ = 38.29°, intensity 100.0, hkl 2 2 0
- 2θ = 45.23°, intensity 5.8, hkl 3 1 1
- 2θ = 47.36°, intensity 1.0, hkl 2 2 2
- 2θ = 55.26°, intensity 17.3, hkl 4 0 0
- 2θ = 60.71°, intensity 2.5, hkl 3 3 1
- 2θ = 62.46°, intensity 1.3, hkl 4 2 0
- 2θ = 69.22°, intensity 35.2, hkl 4 2 2